No. 1
Diffraction record for Pr2BPt6Rh. The XRD peak list is computed, not measured: it uses a crystal structure in Alexandria, relaxed with PBE and Cu Kα X-rays.
No peak broadening, texture or thermal motion is included.

Largest 10 diffraction maxima, sorted by position, 15° ≤ 2θ ≤ 90°:
2theta, d_spacing, I (rel.)
26.21, 3.400, 23
28.49, 3.133, 32
34.39, 2.607, 36
35.87, 2.503, 33
37.84, 2.378, 100
39.77, 2.267, 19
40.93, 2.205, 79
51.74, 1.767, 17
59.20, 1.561, 21
66.20, 1.412, 30

Structure:
Unit cell a=7.541 b=7.541 c=7.541 alpha=43.97 beta=43.97 gamma=43.97
Fractional positions:
Pr  0.208  0.208  0.208
Pr  0.792  0.792  0.792
B  0.000  0.000  0.000
Pt  0.234  0.234  0.713
Pt  0.234  0.713  0.234
Pt  0.287  0.766  0.766
Pt  0.713  0.234  0.234
Pt  0.766  0.287  0.766
Pt  0.766  0.766  0.287
Rh  0.500  0.500  0.500

No. 2
Diffraction record for RbNaPdF6. The XRD peak list is computed, not measured: it uses a crystal structure in Alexandria, relaxed with PBE and Cu Kα X-rays.
No peak broadening, texture or thermal motion is included.

Largest 10 diffraction maxima, sorted by position, 15° ≤ 2θ ≤ 90°:
2theta, d_spacing, I (rel.)
15.09, 5.872, 13
17.71, 5.008, 27
23.35, 3.810, 100
30.93, 2.891, 21
34.58, 2.594, 9
39.11, 2.303, 20
43.95, 2.060, 39
50.67, 1.801, 22
55.01, 1.669, 12
69.02, 1.361, 10

Structure:
Unit cell a=5.785 b=5.785 c=5.872 alpha=90.02 beta=90.02 gamma=120.07
Fractional positions:
Rb  0.000  0.000  0.000
Na  0.667  0.333  0.500
Pd  0.333  0.667  0.500
F  0.049  0.393  0.312
F  0.050  0.656  0.689
F  0.344  0.394  0.689
F  0.344  0.950  0.311
F  0.606  0.656  0.311
F  0.607  0.951  0.688

No. 3
Diffraction record for Nd3Ga2O8. The XRD peak list is computed, not measured: it uses a crystal structure in Alexandria, relaxed with PBE and Cu Kα X-rays.
No peak broadening, texture or thermal motion is included.

Largest 10 diffraction maxima, sorted by position, 15° ≤ 2θ ≤ 90°:
2theta, d_spacing, I (rel.)
29.36, 3.043, 94
31.46, 2.844, 100
43.56, 2.078, 43
50.70, 1.801, 28
54.72, 1.678, 37
56.01, 1.642, 19
65.67, 1.422, 16
70.16, 1.341, 19
73.52, 1.288, 15
82.08, 1.174, 19

Structure:
Unit cell a=7.236 b=7.236 c=7.236 alpha=46.28 beta=46.28 gamma=46.28
Fractional positions:
Nd  0.000  0.000  0.000
Nd  0.199  0.199  0.199
Nd  0.801  0.801  0.801
Ga  0.407  0.407  0.407
Ga  0.593  0.593  0.593
O  0.208  0.742  0.742
O  0.258  0.258  0.792
O  0.258  0.792  0.258
O  0.313  0.313  0.313
O  0.687  0.687  0.687
O  0.742  0.208  0.742
O  0.742  0.742  0.208
O  0.792  0.258  0.258

No. 4
Diffraction record for Na5BiP4O14. The XRD peak list is computed, not measured: it uses a crystal structure in Alexandria, relaxed with PBE and Cu Kα X-rays.
No peak broadening, texture or thermal motion is included.

Largest 10 diffraction maxima, sorted by position, 15° ≤ 2θ ≤ 90°:
2theta, d_spacing, I (rel.)
20.14, 4.409, 65
20.34, 4.367, 34
21.29, 4.174, 100
28.82, 3.098, 42
29.24, 3.055, 74
30.71, 2.911, 47
31.98, 2.799, 52
32.46, 2.758, 51
32.60, 2.747, 53
36.47, 2.464, 56

Structure:
Unit cell a=7.435 b=9.444 c=9.962 alpha=80.60 beta=78.03 gamma=70.08
Fractional positions:
Na  0.059  0.023  0.158
Na  0.162  0.343  0.228
Na  0.235  0.236  0.908
Na  0.256  0.766  0.613
Na  0.435  0.010  0.342
Na  0.565  0.990  0.658
Na  0.744  0.234  0.387
Na  0.765  0.764  0.092
Na  0.838  0.657  0.772
Na  0.941  0.977  0.842
Bi  0.369  0.623  0.269
Bi  0.631  0.377  0.731
P  0.092  0.161  0.554
P  0.218  0.610  0.951
P  0.323  0.365  0.530
P  0.395  0.851  0.954
P  0.605  0.149  0.046
P  0.677  0.635  0.470
P  0.782  0.390  0.049
P  0.908  0.839  0.446
O  0.031  0.712  0.902
O  0.075  0.175  0.403
O  0.101  0.830  0.346
O  0.130  0.315  0.586
O  0.193  0.576  0.110
O  0.222  0.986  0.919
O  0.261  0.023  0.593
O  0.271  0.532  0.545
O  0.315  0.467  0.875
O  0.377  0.700  0.904
O  0.386  0.822  0.114
O  0.397  0.329  0.380
O  0.407  0.144  0.119
O  0.471  0.263  0.626
O  0.529  0.737  0.374
O  0.593  0.856  0.881
O  0.603  0.671  0.620
O  0.614  0.178  0.886
O  0.623  0.300  0.096
O  0.685  0.533  0.125
O  0.729  0.468  0.455
O  0.739  0.977  0.407
O  0.778  0.014  0.081
O  0.807  0.424  0.890
O  0.870  0.685  0.414
O  0.899  0.170  0.654
O  0.925  0.825  0.597
O  0.969  0.288  0.098

No. 5
Diffraction record for MgScB. The XRD peak list is computed, not measured: it uses a crystal structure in Alexandria, relaxed with PBE and Cu Kα X-rays.
No peak broadening, texture or thermal motion is included.

Largest 10 diffraction maxima, sorted by position, 15° ≤ 2θ ≤ 90°:
2theta, d_spacing, I (rel.)
30.41, 2.939, 91
30.81, 2.902, 100
31.28, 2.859, 94
35.32, 2.541, 63
35.78, 2.510, 28
39.68, 2.271, 67
41.79, 2.162, 86
42.61, 2.122, 65
48.36, 1.882, 28
52.33, 1.748, 37

Structure:
Unit cell a=9.089 b=3.134 c=8.686 alpha=90.00 beta=119.92 gamma=90.00
Fractional positions:
Mg  0.000  0.000  0.000
Mg  0.135  0.500  0.805
Mg  0.500  0.500  0.000
Mg  0.635  0.000  0.805
Sc  0.235  0.000  0.527
Sc  0.337  0.500  0.242
Sc  0.735  0.500  0.527
Sc  0.837  0.000  0.242
B  0.462  0.500  0.551
B  0.492  0.000  0.494
B  0.962  0.000  0.551
B  0.992  0.500  0.494

No. 6
Diffraction record for Na2Hg2Bi3. The XRD peak list is computed, not measured: it uses a crystal structure in Alexandria, relaxed with PBE and Cu Kα X-rays.
No peak broadening, texture or thermal motion is included.

Largest 10 diffraction maxima, sorted by position, 15° ≤ 2θ ≤ 90°:
2theta, d_spacing, I (rel.)
19.73, 4.500, 28
25.52, 3.490, 22
30.56, 2.925, 64
32.34, 2.768, 56
33.23, 2.696, 100
33.82, 2.651, 99
45.10, 2.010, 47
55.65, 1.652, 22
56.82, 1.620, 23
58.63, 1.575, 21

Structure:
Unit cell a=9.132 b=5.536 c=9.002 alpha=90.00 beta=116.93 gamma=90.00
Fractional positions:
Na  0.212  0.000  0.144
Na  0.288  0.500  0.856
Na  0.712  0.500  0.144
Na  0.788  0.000  0.856
Hg  0.083  0.000  0.733
Hg  0.417  0.500  0.267
Hg  0.583  0.500  0.733
Hg  0.917  0.000  0.267
Bi  0.000  0.500  0.000
Bi  0.130  0.500  0.420
Bi  0.370  0.000  0.580
Bi  0.500  0.000  0.000
Bi  0.630  0.000  0.420
Bi  0.870  0.500  0.580

No. 7
Diffraction record for KPH6. The XRD peak list is computed, not measured: it uses a crystal structure in Alexandria, relaxed with PBE and Cu Kα X-rays.
No peak broadening, texture or thermal motion is included.

Largest 10 diffraction maxima, sorted by position, 15° ≤ 2θ ≤ 90°:
2theta, d_spacing, I (rel.)
25.73, 3.462, 100
35.85, 2.505, 39
37.55, 2.395, 31
43.18, 2.095, 6
46.08, 1.970, 18
52.89, 1.731, 10
58.53, 1.577, 16
60.89, 1.521, 13
63.29, 1.469, 6
66.66, 1.403, 11

Structure:
Unit cell a=5.021 b=5.021 c=5.021 alpha=56.99 beta=56.99 gamma=56.99
Fractional positions:
K  0.000  0.000  0.000
P  0.500  0.500  0.500
H  0.135  0.580  0.580
H  0.420  0.420  0.865
H  0.420  0.865  0.420
H  0.580  0.135  0.580
H  0.580  0.580  0.135
H  0.865  0.420  0.420

No. 8
Diffraction record for YEr2N3. The XRD peak list is computed, not measured: it uses a crystal structure in Alexandria, relaxed with PBE and Cu Kα X-rays.
No peak broadening, texture or thermal motion is included.

Largest 10 diffraction maxima, sorted by position, 15° ≤ 2θ ≤ 90°:
2theta, d_spacing, I (rel.)
15.45, 5.734, 4
23.97, 3.712, 3
28.31, 3.152, 2
31.81, 2.813, 100
36.90, 2.436, 74
53.17, 1.723, 51
63.31, 1.469, 44
66.48, 1.406, 17
78.53, 1.218, 8
87.21, 1.118, 19

Structure:
Unit cell a=6.891 b=4.871 c=10.338 alpha=90.00 beta=90.00 gamma=90.00
Fractional positions:
Y  0.125  0.250  0.084
Y  0.375  0.750  0.584
Y  0.625  0.250  0.416
Y  0.875  0.750  0.916
Er  0.125  0.250  0.417
Er  0.125  0.250  0.750
Er  0.375  0.750  0.250
Er  0.375  0.750  0.917
Er  0.625  0.250  0.083
Er  0.625  0.250  0.750
Er  0.875  0.750  0.250
Er  0.875  0.750  0.583
N  0.122  0.750  0.415
N  0.125  0.750  0.751
N  0.128  0.750  0.084
N  0.372  0.250  0.584
N  0.375  0.250  0.251
N  0.378  0.250  0.915
N  0.622  0.750  0.085
N  0.625  0.750  0.749
N  0.628  0.750  0.416
N  0.872  0.250  0.916
N  0.875  0.250  0.249
N  0.878  0.250  0.585